(1)
Starting from a crystal structure in OQMD, relaxed with PBE, the powder XRD pattern of NaNdGa4S8 was computed for copper Kα.
Intensities are scaled so that the largest is 100.

abc: 14.3468 11.8447 11.8416
angles: 74.56 52.73 52.71
Element x y z (fractional)
Na: 0.1214 0.1214 0.6286
Na: 0.3714 0.3714 0.8786
Na: 0.6286 0.6286 0.1214
Na: 0.8786 0.8786 0.3714
Nd: 0.1250 0.1250 0.1250
Nd: 0.3750 0.3750 0.3750
Nd: 0.6250 0.6250 0.6250
Nd: 0.8750 0.8750 0.8750
Ga: 0.0319 0.4692 0.8586
Ga: 0.1109 0.3836 0.3671
Ga: 0.1402 0.8586 0.4692
Ga: 0.1414 0.8598 0.9681
Ga: 0.3616 0.6329 0.6164
Ga: 0.3671 0.6384 0.1109
Ga: 0.3836 0.1109 0.6384
Ga: 0.4692 0.0319 0.1402
Ga: 0.5308 0.9681 0.8598
Ga: 0.6164 0.8891 0.3616
Ga: 0.6329 0.3616 0.8891
Ga: 0.6384 0.3671 0.3836
Ga: 0.8586 0.1402 0.0319
Ga: 0.8598 0.1414 0.5308
Ga: 0.8891 0.6164 0.6329
Ga: 0.9681 0.5308 0.1414
S: 0.0792 0.5917 0.9163
S: 0.0837 0.0873 0.9208
S: 0.0873 0.0837 0.4083
S: 0.0936 0.5768 0.4117
S: 0.1521 0.3406 0.1608
S: 0.1535 0.8392 0.6594
S: 0.1608 0.8465 0.1521
S: 0.1833 0.3161 0.6522
S: 0.3161 0.1833 0.3484
S: 0.3406 0.1521 0.8465
S: 0.3484 0.6522 0.3161
S: 0.3478 0.6516 0.8167
S: 0.4083 0.9208 0.0873
S: 0.4117 0.4179 0.0936
S: 0.4179 0.4117 0.5768
S: 0.4232 0.9064 0.5821
S: 0.5768 0.0936 0.4179
S: 0.5821 0.5883 0.4232
S: 0.5883 0.5821 0.9064
S: 0.5917 0.0792 0.9127
S: 0.6522 0.3484 0.1833
S: 0.6516 0.3478 0.6839
S: 0.6594 0.8479 0.1535
S: 0.6839 0.8167 0.6516
S: 0.8167 0.6839 0.3478
S: 0.8392 0.1535 0.8479
S: 0.8465 0.1608 0.3406
S: 0.8479 0.6594 0.8392
S: 0.9064 0.4232 0.5883
S: 0.9127 0.9163 0.5917
S: 0.9163 0.9127 0.0792
S: 0.9208 0.4083 0.0837

The 6 most intense peaks (2θ from 10° to 90°), by angle:
Position (°2θ)	intensity
12.3	48
24.4	100
30.2	49
31.5	38
35.4	51
38.7	81

***

(2)
Starting from a crystal structure in OQMD, relaxed with PBE, the powder XRD pattern of TbHgSO was computed for copper Kα.
Intensities are scaled so that the largest is 100.

abc: 6.9775 7.2892 6.6391
angles: 90.00 92.98 90.00
Element x y z (fractional)
Tb: 0.0233 0.1376 0.2920
Tb: 0.0233 0.3624 0.7920
Tb: 0.9767 0.6376 0.2080
Tb: 0.9767 0.8624 0.7080
Hg: 0.4835 0.6850 0.9938
Hg: 0.4835 0.8150 0.4938
Hg: 0.5165 0.1850 0.5062
Hg: 0.5165 0.3150 0.0062
S: 0.2527 0.0697 0.9476
S: 0.2527 0.4303 0.4476
S: 0.7473 0.5697 0.5524
S: 0.7473 0.9303 0.0524
O: 0.1013 0.6454 0.9104
O: 0.1013 0.8546 0.4104
O: 0.8987 0.1454 0.5896
O: 0.8987 0.3546 0.0896

The 6 most intense peaks (2θ from 10° to 90°), by angle:
Position (°2θ)	intensity
25.6	100
29.2	98
30.5	66
31.1	44
39.5	56
48.1	34

***

(3)
Starting from a crystal structure in OQMD, relaxed with PBE, the powder XRD pattern of LaURe was computed for copper Kα.
Intensities are scaled so that the largest is 100.

abc: 4.8239 4.8239 4.8239
angles: 60.00 60.00 60.00
Element x y z (fractional)
La: 0.0000 0.0000 0.0000
U: 0.5000 0.5000 0.5000
Re: 0.7500 0.7500 0.7500

The 6 most intense peaks (2θ from 10° to 90°), by angle:
Position (°2θ)	intensity
22.6	33
26.1	14
37.3	100
44.0	18
53.7	18
67.2	37